Entry 1:
This entry pairs a crystal structure of Pm5Sm4Er with its calculated powder diffractogram. Radiation: Cu Kα (λ = 1.5418 Å). Structure: a cell relaxed with PBE.

Main lines, in order of rising 2θ (10 to 80 degrees two-theta):
| 2θ (°) | I_rel |
| --- | --- |
| 30.19 | 100 |
| 34.99 | 51 |
| 50.33 | 36 |
| 59.77 | 22 |
| 59.86 | 22 |
| 62.77 | 12 |
| 73.82 | 2 |
| 73.98 | 4 |

abc: 3.6241 9.5874 10.2688
angles: 74.47 89.93 79.14
Sites, in units of the cell vectors:
Pm  0.0000  0.0000  0.0000
Pm  0.1999  0.6002  0.1000
Pm  0.4007  0.1982  0.6978
Pm  0.5993  0.8018  0.3022
Pm  0.8001  0.3998  0.9000
Sm  0.1997  0.6008  0.5998
Sm  0.4009  0.1989  0.2030
Sm  0.5991  0.8011  0.7970
Sm  0.8003  0.3992  0.4002
Er  0.0000  0.0000  0.5000

Entry 2:
This entry pairs a crystal structure of Pm4Sm4Er5 with its calculated powder diffractogram. Radiation: Cu Kα (λ = 1.5418 Å). Structure: a cell relaxed with PBE.

Main lines, in order of rising 2θ (10 to 80 degrees two-theta):
| 2θ (°) | I_rel |
| --- | --- |
| 30.52 | 100 |
| 35.33 | 34 |
| 35.50 | 17 |
| 50.83 | 12 |
| 50.95 | 24 |
| 60.46 | 29 |
| 60.68 | 14 |
| 63.53 | 12 |
| 74.74 | 4 |
| 75.13 | 2 |

abc: 9.5022 9.5022 9.5022
angles: 94.06 94.06 149.13
Sites, in units of the cell vectors:
Pm  0.0786  0.6163  0.6948
Pm  0.3837  0.0786  0.4623
Pm  0.6163  0.9214  0.5377
Pm  0.9214  0.3837  0.3052
Sm  0.1526  0.2289  0.3815
Sm  0.2289  0.8474  0.0762
Sm  0.7711  0.1526  0.9238
Sm  0.8474  0.7711  0.6185
Er  0.0000  0.0000  0.0000
Er  0.3104  0.4616  0.7720
Er  0.4616  0.6896  0.1512
Er  0.5384  0.3104  0.8488
Er  0.6896  0.5384  0.2280